Record 1
For BaMn2O4, a structure optimized by DFT (GGA+U) gives the calculated powder X-ray diffraction pattern in this record (λ = 1.5418 Å (Cu Kα)).
No peak broadening, texture or thermal motion is included.

Structural model:
```
data_BaMn2O4
_space_group_name_H-M_alt 'F d d d'
_space_group_IT_number 70
_cell_length_a 10.0952
_cell_length_b 12.8928
_cell_length_c 16.7660
_cell_angle_alpha 90.00
_cell_angle_beta 90.00
_cell_angle_gamma 90.00
loop_
_space_group_symop_operation_xyz
'x,y,z'
'-x,-y,-z'
'-x+1/4,-y+1/4,z'
'x+1/4,y+1/4,-z'
'x,-y+1/4,-z+1/4'
'-x,y+1/4,z+1/4'
'-x+1/4,y,-z+1/4'
'x+1/4,-y,z+1/4'
'x,y+1/2,z+1/2'
'-x,-y+1/2,-z+1/2'
'-x+1/4,-y+3/4,z+1/2'
'x+1/4,y+3/4,-z+1/2'
'x,-y+3/4,-z+3/4'
'-x,y+3/4,z+3/4'
'-x+1/4,y+1/2,-z+3/4'
'x+1/4,-y+1/2,z+3/4'
'x+1/2,y,z+1/2'
'-x+1/2,-y,-z+1/2'
'-x+3/4,-y+1/4,z+1/2'
'x+3/4,y+1/4,-z+1/2'
'x+1/2,-y+1/4,-z+3/4'
'-x+1/2,y+1/4,z+3/4'
'-x+3/4,y,-z+3/4'
'x+3/4,-y,z+3/4'
'x+1/2,y+1/2,z'
'-x+1/2,-y+1/2,-z'
'-x+3/4,-y+3/4,z'
'x+3/4,y+3/4,-z'
'x+1/2,-y+3/4,-z+1/4'
'-x+1/2,y+3/4,z+1/4'
'-x+3/4,y+1/2,-z+1/4'
'x+3/4,-y+1/2,z+1/4'
loop_
_atom_site_label
_atom_site_fract_x
_atom_site_fract_y
_atom_site_fract_z
_atom_site_occupancy
Ba1 0.0000 0.0000 0.0000 1
Mn1 0.1130 0.0140 0.7310 1
O1 0.0122 0.3574 0.7599 1
O2 0.0187 0.0650 0.3033 1
```

Most intense lines, 10 to 90 degrees two-theta, low angle first:
| 2θ/deg | intensity | index |
| --- | --- | --- |
| 19.42 | 172 | 1 1 3 |
| 21.20 | 1000 | 0 0 4 |
| 24.79 | 383 | 2 2 2 |
| 27.67 | 354 | 0 4 0 |
| 27.91 | 264 | 3 1 1 |
| 31.81 | 184 | 3 1 3 |
| 34.26 | 147 | 3 3 1 |
| 35.12 | 273 | 0 4 4 |
| 37.57 | 126 | 3 3 3 |
| 39.43 | 218 | 2 2 6 |
| 44.60 | 185 | 3 5 1 |
| 47.26 | 161 | 2 6 2 |

---

Record 2
For Na3MnO3, a structure optimized by DFT (GGA+U) gives the calculated powder X-ray diffraction pattern in this record (λ = 1.5418 Å (Cu Kα)).
No peak broadening, texture or thermal motion is included.

Structural model:
```
data_Na3MnO3
_space_group_name_H-M_alt 'P -1'
_space_group_IT_number 2
_cell_length_a 5.7933
_cell_length_b 5.9103
_cell_length_c 6.5787
_cell_angle_alpha 114.19
_cell_angle_beta 90.55
_cell_angle_gamma 90.62
loop_
_space_group_symop_operation_xyz
'x,y,z'
'-x,-y,-z'
loop_
_atom_site_label
_atom_site_fract_x
_atom_site_fract_y
_atom_site_fract_z
_atom_site_occupancy
Na1 0.0542 0.2403 0.2257 1
Na2 0.3775 0.7701 0.0198 1
Na3 0.4346 0.7649 0.5512 1
Mn1 0.1154 0.1983 0.6823 1
O1 0.1907 0.9443 0.3571 1
O2 0.2484 0.1002 0.8928 1
O3 0.2645 0.4757 0.6732 1
```

Most intense lines, 10 to 90 degrees two-theta, low angle first:
| 2θ/deg | intensity | index |
| --- | --- | --- |
| 15.30 | 403 | 1 0 0 |
| 16.44 | 546 | 0 1 0 |
| 17.02 | 328 | 0 1 -1 |
| 21.15 | 589 | 1 0 -1 |
| 22.35 | 323 | 1 -1 0 |
| 22.94 | 414 | 1 -1 1 |
| 33.24 | 423 | 0 2 0 |
| 33.86 | 714 | 1 0 2 |
| 34.93 | 564 | 2 -1 0 |
| 35.42 | 654 | 2 1 0 |
| 37.86 | 1000 | 1 -2 2 |
| 42.72 | 705 | -1 1 2 |

---

Record 3
For MnC5IO5, a structure optimized by DFT (GGA+U) gives the calculated powder X-ray diffraction pattern in this record (λ = 1.5418 Å (Cu Kα)).
No peak broadening, texture or thermal motion is included.

Structural model:
```
data_MnC5IO5
_space_group_name_H-M_alt 'C m c m'
_space_group_IT_number 63
_space_group_name_Hall '-C 2c 2'
_cell_length_a 7.6409
_cell_length_b 11.1673
_cell_length_c 11.0076
_cell_angle_alpha 90.00
_cell_angle_beta 90.00
_cell_angle_gamma 90.00
loop_
_atom_site_label
_atom_site_fract_x
_atom_site_fract_y
_atom_site_fract_z
_atom_site_occupancy
Mn1 0.0000 0.1448 0.2500 1
C1 0.0000 0.3096 0.2500 1
C2 0.1758 0.1337 0.1309 1
I1 0.0000 0.1021 0.7500 1
O1 0.0000 0.4130 0.2500 1
O2 0.2142 0.3745 0.5597 1
```

Most intense lines, 10 to 90 degrees two-theta, low angle first:
| 2θ/deg | intensity | index |
| --- | --- | --- |
| 14.04 | 1000 | 1 1 0 |
| 16.10 | 696 | 0 0 2 |
| 21.43 | 822 | 1 1 2 |
| 27.87 | 163 | 1 3 1 |
| 28.44 | 845 | 2 0 2 |
| 29.12 | 394 | 0 2 3 |
| 29.47 | 406 | 2 2 1 |
| 31.28 | 175 | 1 3 2 |
| 32.06 | 358 | 0 4 0 |
| 36.12 | 190 | 3 1 0 |
| 40.39 | 254 | 2 0 4 |
| 43.38 | 328 | 2 4 2 |

---

Record 4
For Li3MnCo2O6, a structure optimized by DFT (GGA+U) gives the calculated powder X-ray diffraction pattern in this record (λ = 1.5418 Å (Cu Kα)).
No peak broadening, texture or thermal motion is included.

Structural model:
```
data_Li3MnCo2O6
_space_group_name_H-M_alt 'P -1'
_space_group_IT_number 2
_cell_length_a 2.9424
_cell_length_b 5.0862
_cell_length_c 7.8213
_cell_angle_alpha 79.09
_cell_angle_beta 81.86
_cell_angle_gamma 76.15
loop_
_space_group_symop_operation_xyz
'x,y,z'
'-x,-y,-z'
loop_
_atom_site_label
_atom_site_fract_x
_atom_site_fract_y
_atom_site_fract_z
_atom_site_occupancy
Li1 0.0000 0.0000 0.0000 1
Li2 0.3283 0.0041 0.3346 1
Mn1 0.0000 0.5000 0.5000 1
Co1 0.3307 0.5042 0.8330 1
O1 0.0028 0.7260 0.2503 1
O2 0.3089 0.7370 0.5853 1
O3 0.3309 0.2709 0.0834 1
```

Most intense lines, 10 to 90 degrees two-theta, low angle first:
| 2θ/deg | intensity | index |
| --- | --- | --- |
| 18.20 | 1000 | 0 1 0 |
| 34.77 | 174 | 1 0 -1 |
| 35.24 | 156 | 0 0 3 |
| 36.71 | 117 | 1 1 2 |
| 37.05 | 97 | 1 1 -1 |
| 41.91 | 295 | -1 1 1 |
| 42.63 | 280 | 0 1 -3 |
| 44.79 | 234 | 1 2 2 |
| 61.12 | 81 | 1 0 -4 |
| 61.51 | 78 | 1 -2 2 |
| 62.66 | 72 | 0 3 3 |
| 63.35 | 71 | 2 1 1 |

---

Record 5
For LiCoPO4, a structure optimized by DFT (GGA+U) gives the calculated powder X-ray diffraction pattern in this record (λ = 1.5418 Å (Cu Kα)).
No peak broadening, texture or thermal motion is included.

Structural model:
```
data_LiCoPO4
_space_group_name_H-M_alt 'P 1 21/c 1'
_space_group_IT_number 14
_cell_length_a 7.5855
_cell_length_b 4.8468
_cell_length_c 17.4493
_cell_angle_alpha 90.00
_cell_angle_beta 92.79
_cell_angle_gamma 90.00
loop_
_space_group_symop_operation_xyz
'x,y,z'
'-x,-y,-z'
'-x,y+1/2,-z+1/2'
'x,-y+1/2,z+1/2'
loop_
_atom_site_label
_atom_site_fract_x
_atom_site_fract_y
_atom_site_fract_z
_atom_site_occupancy
Li1 0.1258 0.2020 0.2252 1
Li2 0.3522 0.7153 0.9895 1
Co1 0.0265 0.2249 0.9027 1
Co2 0.4926 0.1249 0.3235 1
P1 0.2285 0.1919 0.5693 1
P2 0.2557 0.6264 0.3249 1
O1 0.0781 0.0147 0.7989 1
O2 0.1169 0.0554 0.6312 1
O3 0.1721 0.0931 0.4874 1
O4 0.2165 0.5095 0.5783 1
O5 0.2547 0.5602 0.8074 1
O6 0.2853 0.5441 0.4090 1
O7 0.4087 0.0075 0.7776 1
O8 0.4228 0.0741 0.5822 1
```

Most intense lines, 10 to 90 degrees two-theta, low angle first:
| 2θ/deg | intensity | index |
| --- | --- | --- |
| 15.87 | 660 | 1 0 2 |
| 20.38 | 395 | 0 0 4 |
| 22.50 | 413 | 1 1 1 |
| 23.82 | 352 | 1 1 -2 |
| 24.05 | 680 | 1 0 4 |
| 26.35 | 267 | 1 1 -3 |
| 29.59 | 382 | 1 1 -4 |
| 30.39 | 389 | 1 1 4 |
| 31.30 | 1000 | 2 1 -2 |
| 32.07 | 559 | 2 1 2 |
| 37.52 | 307 | 1 1 -6 |
| 39.46 | 359 | 1 2 1 |

---

Record 6
For YFeO3, a structure optimized by DFT (GGA+U) gives the calculated powder X-ray diffraction pattern in this record (λ = 1.5418 Å (Cu Kα)).
No peak broadening, texture or thermal motion is included.

Structural model:
```
data_YFeO3
_space_group_name_H-M_alt 'P 63 c m'
_space_group_IT_number 185
_space_group_name_Hall 'P 6c -2'
_cell_length_a 6.1674
_cell_length_b 6.1674
_cell_length_c 11.8459
_cell_angle_alpha 90.00
_cell_angle_beta 90.00
_cell_angle_gamma 120.00
loop_
_atom_site_label
_atom_site_fract_x
_atom_site_fract_y
_atom_site_fract_z
_atom_site_occupancy
Y1 0.0000 0.0000 0.0000 1
Y2 0.3333 0.6667 0.4578 1
Fe1 0.0000 0.3340 0.2253 1
O1 0.0000 0.0000 0.2021 1
O2 0.0000 0.3070 0.3897 1
O3 0.0000 0.3593 0.0624 1
O4 0.3333 0.6667 0.2453 1
```

Most intense lines, 10 to 90 degrees two-theta, low angle first:
| 2θ/deg | intensity | index |
| --- | --- | --- |
| 14.96 | 104 | 0 0 2 |
| 28.95 | 301 | 1 1 0 |
| 29.94 | 646 | 1 1 1 |
| 30.18 | 430 | 0 0 4 |
| 32.74 | 1000 | 1 1 2 |
| 42.31 | 289 | 1 1 4 |
| 48.45 | 137 | 1 1 5 |
| 51.32 | 560 | 3 0 0 |
| 55.25 | 245 | 1 1 6 |
| 60.69 | 331 | 3 0 4 |
| 62.22 | 163 | 2 2 2 |
| 84.77 | 140 | 4 1 2 |

---

Record 7
For MoN2Cl5O, a structure optimized by DFT (GGA+U) gives the calculated powder X-ray diffraction pattern in this record (λ = 1.5418 Å (Cu Kα)).
No peak broadening, texture or thermal motion is included.

Structural model:
```
data_MoN2Cl5O
_space_group_name_H-M_alt 'P n m a'
_space_group_IT_number 62
_cell_length_a 14.9634
_cell_length_b 10.0245
_cell_length_c 6.8509
_cell_angle_alpha 90.00
_cell_angle_beta 90.00
_cell_angle_gamma 90.00
loop_
_space_group_symop_operation_xyz
'x,y,z'
'-x,-y,-z'
'-x+1/2,-y,z+1/2'
'x+1/2,y,-z+1/2'
'x+1/2,-y+1/2,-z+1/2'
'-x+1/2,y+1/2,z+1/2'
'-x,y+1/2,-z'
'x,-y+1/2,z'
loop_
_atom_site_label
_atom_site_fract_x
_atom_site_fract_y
_atom_site_fract_z
_atom_site_occupancy
Mo1 0.0831 0.2500 0.1742 1
N1 0.1609 0.0288 0.6683 1
Cl1 0.0059 0.2500 0.4609 1
Cl2 0.1017 0.0209 0.1879 1
Cl3 0.2171 0.2500 0.9643 1
Cl4 0.2422 0.2500 0.3531 1
O1 0.0044 0.2500 0.9952 1
```

Most intense lines, 10 to 90 degrees two-theta, low angle first:
| 2θ/deg | intensity | index |
| --- | --- | --- |
| 14.77 | 1000 | 2 1 0 |
| 15.67 | 872 | 0 1 1 |
| 17.55 | 635 | 2 0 1 |
| 17.70 | 360 | 0 2 0 |
| 27.16 | 280 | 4 0 1 |
| 29.78 | 367 | 4 2 0 |
| 31.68 | 378 | 3 0 2 |
| 35.54 | 143 | 4 0 2 |
| 35.83 | 333 | 0 4 0 |
| 39.49 | 144 | 6 1 1 |
| 44.56 | 195 | 3 1 3 |
| 48.57 | 156 | 3 4 2 |